The following is a theoretical powder XRD pattern of MgCdC2O6. It was derived from a crystal structure in the Materials Project, relaxed with PBE, using Cu Kα (weighted mean of Kα1 and Kα2).
Intensities are scaled so that the largest is 100.

The 6 most intense peaks (10 to 80 degrees two-theta), low angle first:
Position (°2θ), I_rel
21.9, 45
24.0, 42
31.1, 100
37.0, 26
40.9, 32
51.2, 53

Atomic structure:
Unit cell a=5.957 b=5.957 c=5.957 alpha=48.13 beta=48.13 gamma=48.13
Sites, in units of the cell vectors:
Mg 0.000 0.000 0.000
Cd 0.500 0.500 0.500
C 0.255 0.255 0.255
C 0.745 0.745 0.745
O 0.005 0.223 0.536
O 0.223 0.536 0.005
O 0.464 0.995 0.777
O 0.536 0.005 0.223
O 0.777 0.464 0.995
O 0.995 0.777 0.464